[1]
The following is a computed powder X-ray diffraction pattern of CdHg4C6S6Br4N6. It was derived from a DFT-relaxed cell (PBE, OQMD), using λ = 1.5418 Å (Cu Kα).

Atomic structure:
```
data_CdHg4C6S6Br4N6
_cell_length_a 12.1896
_cell_length_b 9.6224
_cell_length_c 14.8614
_cell_angle_alpha 54.80
_cell_angle_beta 40.17
_cell_angle_gamma 85.03
_space_group_name_H-M_alt 'P 1'
_space_group_IT_number 1
_space_group_name_Hall 'P 1'
loop_
_atom_site_label
_atom_site_type_symbol
_atom_site_fract_x
_atom_site_fract_y
_atom_site_fract_z
_atom_site_occupancy
Cd1 Cd 0.0000 0.0000 0.0000 1
Hg1 Hg 0.1649 0.8512 0.4538 1
Hg2 Hg 0.4699 0.5462 0.1488 1
Hg3 Hg 0.5462 0.4699 0.8351 1
Hg4 Hg 0.8512 0.1649 0.5301 1
C1 C 0.0930 0.5007 0.7594 1
C2 C 0.2406 0.3531 0.9070 1
C3 C 0.3531 0.2406 0.4993 1
C4 C 0.5007 0.0930 0.6469 1
C5 C 0.5428 0.7687 0.2313 1
C6 C 0.7687 0.5428 0.4572 1
S1 S 0.2001 0.7624 0.6183 1
S2 S 0.3648 0.7160 0.2840 1
S3 S 0.3817 0.5808 0.7999 1
S4 S 0.5808 0.3817 0.2376 1
S5 S 0.7160 0.3648 0.6352 1
S6 S 0.7624 0.2001 0.4192 1
Br1 Br 0.0419 0.9480 0.3597 1
Br2 Br 0.3496 0.6403 0.0520 1
Br3 Br 0.6403 0.3496 0.9581 1
Br4 Br 0.9480 0.0419 0.6504 1
N1 N 0.0159 0.3135 0.8633 1
N2 N 0.1367 0.1927 0.9841 1
N3 N 0.1927 0.1367 0.6865 1
N4 N 0.3135 0.0159 0.8073 1
N5 N 0.6690 0.8049 0.1951 1
N6 N 0.8049 0.6690 0.3310 1
```

Main lines, by angle (2θ = 5–70°):
7.51°, I = 100
12.31°, I = 26
18.59°, I = 34
20.98°, I = 28
28.00°, I = 26
29.51°, I = 20


[2]
The following is a computed powder X-ray diffraction pattern of CuH6C10I2Br2N2Cl2. It was derived from a DFT-relaxed cell (PBE, OQMD), using λ = 1.5418 Å (Cu Kα).

Atomic structure:
```
data_CuH6C10I2Br2N2Cl2
_cell_length_a 7.9105
_cell_length_b 7.9105
_cell_length_c 15.0281
_cell_angle_alpha 90.74
_cell_angle_beta 90.74
_cell_angle_gamma 116.26
_space_group_name_H-M_alt 'P 1'
_space_group_IT_number 1
_space_group_name_Hall 'P 1'
loop_
_atom_site_label
_atom_site_type_symbol
_atom_site_fract_x
_atom_site_fract_y
_atom_site_fract_z
_atom_site_occupancy
Cu1 Cu 0.2090 0.7910 0.7500 1
Cu2 Cu 0.7910 0.2090 0.2500 1
H1 H 0.0262 0.2314 0.4047 1
H2 H 0.2314 0.0262 0.9047 1
H3 H 0.2604 0.7163 0.1359 1
H4 H 0.2780 0.4774 0.0311 1
H5 H 0.2837 0.7396 0.3641 1
H6 H 0.4774 0.2780 0.5311 1
H7 H 0.5226 0.7220 0.4689 1
H8 H 0.7163 0.2604 0.6359 1
H9 H 0.7220 0.5226 0.9689 1
H10 H 0.7396 0.2837 0.8641 1
H11 H 0.7686 0.9738 0.0953 1
H12 H 0.9738 0.7686 0.5953 1
C1 C 0.0937 0.7618 0.5634 1
C2 C 0.1107 0.7592 0.4715 1
C3 C 0.2382 0.9063 0.9366 1
C4 C 0.2408 0.8893 0.0285 1
C5 C 0.2566 0.7347 0.0642 1
C6 C 0.2582 0.6248 0.9150 1
C7 C 0.2653 0.7434 0.4358 1
C8 C 0.2667 0.6010 0.0063 1
C9 C 0.3752 0.7418 0.5850 1
C10 C 0.3990 0.7333 0.4937 1
C11 C 0.6010 0.2667 0.5063 1
C12 C 0.6248 0.2582 0.4150 1
C13 C 0.7333 0.3990 0.9937 1
C14 C 0.7347 0.2566 0.5642 1
C15 C 0.7418 0.3752 0.0850 1
C16 C 0.7434 0.2653 0.9358 1
C17 C 0.7592 0.1107 0.9715 1
C18 C 0.7618 0.0937 0.0634 1
C19 C 0.8893 0.2408 0.5285 1
C20 C 0.9063 0.2382 0.4366 1
I1 I 0.0905 0.2111 0.6116 1
I2 I 0.2111 0.0905 0.1116 1
I3 I 0.7889 0.9095 0.8884 1
I4 I 0.9095 0.7889 0.3884 1
Br1 Br 0.1310 0.4059 0.2426 1
Br2 Br 0.4059 0.1310 0.7426 1
Br3 Br 0.5941 0.8690 0.2574 1
Br4 Br 0.8690 0.5941 0.7574 1
N1 N 0.2251 0.7548 0.6195 1
N2 N 0.2452 0.7749 0.8805 1
N3 N 0.7548 0.2251 0.1195 1
N4 N 0.7749 0.2452 0.3805 1
Cl1 Cl 0.2650 0.4596 0.8422 1
Cl2 Cl 0.4596 0.2650 0.3422 1
Cl3 Cl 0.5404 0.7350 0.6578 1
Cl4 Cl 0.7350 0.5404 0.1578 1
```

Main lines, by angle (2θ = 5–70°):
17.01°, I = 49
22.14°, I = 100
24.13°, I = 66
25.93°, I = 51
27.20°, I = 81
32.64°, I = 37


[3]
The following is a computed powder X-ray diffraction pattern of CuH6C10Br4N2Cl2. It was derived from a DFT-relaxed cell (PBE, OQMD), using λ = 1.5418 Å (Cu Kα).

Atomic structure:
```
data_CuH6C10Br4N2Cl2
_cell_length_a 6.2622
_cell_length_b 7.8724
_cell_length_c 8.5735
_cell_angle_alpha 104.27
_cell_angle_beta 93.94
_cell_angle_gamma 103.29
_space_group_name_H-M_alt 'P 1'
_space_group_IT_number 1
_space_group_name_Hall 'P 1'
loop_
_atom_site_label
_atom_site_type_symbol
_atom_site_fract_x
_atom_site_fract_y
_atom_site_fract_z
_atom_site_occupancy
Cu1 Cu 0.0000 0.0000 0.0000 1
H1 H 0.1842 0.8112 0.5029 1
H2 H 0.1916 0.3869 0.5054 1
H3 H 0.3929 0.2547 0.9445 1
H4 H 0.6071 0.7453 0.0555 1
H5 H 0.8084 0.6131 0.4946 1
H6 H 0.8158 0.1888 0.4971 1
C1 C 0.0537 0.7929 0.4051 1
C2 C 0.0917 0.8803 0.2832 1
C3 C 0.1560 0.3181 0.6001 1
C4 C 0.2694 0.2448 0.8444 1
C5 C 0.3193 0.3370 0.7271 1
C6 C 0.6807 0.6630 0.2729 1
C7 C 0.7306 0.7552 0.1556 1
C8 C 0.8440 0.6819 0.3999 1
C9 C 0.9083 0.1197 0.7168 1
C10 C 0.9463 0.2071 0.5949 1
Br1 Br 0.1350 0.7519 0.8341 1
Br2 Br 0.3724 0.0334 0.2779 1
Br3 Br 0.6276 0.9666 0.7221 1
Br4 Br 0.8650 0.2481 0.1659 1
N1 N 0.0659 0.1379 0.8378 1
N2 N 0.9341 0.8621 0.1622 1
Cl1 Cl 0.4174 0.5295 0.2583 1
Cl2 Cl 0.5826 0.4705 0.7417 1
```

Main lines, by angle (2θ = 5–70°):
12.00°, I = 99
21.34°, I = 80
21.58°, I = 68
25.24°, I = 58
27.79°, I = 61
28.96°, I = 100


[4]
The following is a computed powder X-ray diffraction pattern of CuH6C10Br4N2Cl2. It was derived from a DFT-relaxed cell (PBE, OQMD), using λ = 1.5418 Å (Cu Kα).

Atomic structure:
```
data_CuH6C10Br4N2Cl2
_cell_length_a 6.1665
_cell_length_b 7.9230
_cell_length_c 8.5840
_cell_angle_alpha 102.89
_cell_angle_beta 96.67
_cell_angle_gamma 102.20
_space_group_name_H-M_alt 'P 1'
_space_group_IT_number 1
_space_group_name_Hall 'P 1'
loop_
_atom_site_label
_atom_site_type_symbol
_atom_site_fract_x
_atom_site_fract_y
_atom_site_fract_z
_atom_site_occupancy
Cu1 Cu 0.0000 0.0000 0.0000 1
H1 H 0.1788 0.3783 0.4998 1
H2 H 0.1973 0.8226 0.5161 1
H3 H 0.3990 0.2466 0.9457 1
H4 H 0.6010 0.7534 0.0543 1
H5 H 0.8027 0.1774 0.4839 1
H6 H 0.8212 0.6217 0.5002 1
C1 C 0.0631 0.8025 0.4145 1
C2 C 0.0973 0.8882 0.2912 1
C3 C 0.1472 0.3098 0.5949 1
C4 C 0.2705 0.2376 0.8432 1
C5 C 0.3151 0.3300 0.7261 1
C6 C 0.6849 0.6700 0.2739 1
C7 C 0.7295 0.7624 0.1568 1
C8 C 0.8528 0.6902 0.4051 1
C9 C 0.9027 0.1118 0.7088 1
C10 C 0.9369 0.1975 0.5855 1
Br1 Br 0.1440 0.7557 0.8492 1
Br2 Br 0.3942 0.5192 0.2498 1
Br3 Br 0.6058 0.4808 0.7502 1
Br4 Br 0.8560 0.2443 0.1508 1
N1 N 0.0655 0.1312 0.8340 1
N2 N 0.9345 0.8688 0.1660 1
Cl1 Cl 0.3527 0.0270 0.2917 1
Cl2 Cl 0.6473 0.9730 0.7083 1
```

Main lines, by angle (2θ = 5–70°):
10.73°, I = 36
21.25°, I = 45
21.56°, I = 37
21.80°, I = 54
25.64°, I = 37
28.45°, I = 100


[5]
The following is a computed powder X-ray diffraction pattern of CuH14C4Br4N2Cl2. It was derived from a DFT-relaxed cell (PBE, OQMD), using λ = 1.5418 Å (Cu Kα).

Atomic structure:
```
data_CuH14C4Br4N2Cl2
_cell_length_a 12.3706
_cell_length_b 7.9580
_cell_length_c 7.4714
_cell_angle_alpha 90.00
_cell_angle_beta 105.70
_cell_angle_gamma 90.00
_space_group_name_H-M_alt 'P 1'
_space_group_IT_number 1
_space_group_name_Hall 'P 1'
loop_
_atom_site_label
_atom_site_type_symbol
_atom_site_fract_x
_atom_site_fract_y
_atom_site_fract_z
_atom_site_occupancy
Cu1 Cu 0.0000 0.0000 0.0000 1
Cu2 Cu 0.0000 0.5000 0.5000 1
H1 H 0.1478 0.0369 0.6705 1
H2 H 0.1478 0.4631 0.1705 1
H3 H 0.1523 0.6538 0.0703 1
H4 H 0.1523 0.8462 0.5703 1
H5 H 0.1541 0.0253 0.4497 1
H6 H 0.1541 0.4747 0.9497 1
H7 H 0.3281 0.2157 0.7594 1
H8 H 0.3281 0.2843 0.2594 1
H9 H 0.3307 0.6042 0.2770 1
H10 H 0.3307 0.8958 0.7770 1
H11 H 0.3366 0.6114 0.0413 1
H12 H 0.3366 0.8886 0.5413 1
H13 H 0.3437 0.2024 0.5306 1
H14 H 0.3437 0.2976 0.0306 1
H15 H 0.6563 0.7024 0.9694 1
H16 H 0.6563 0.7976 0.4694 1
H17 H 0.6634 0.1114 0.4587 1
H18 H 0.6634 0.3886 0.9587 1
H19 H 0.6693 0.1042 0.2230 1
H20 H 0.6693 0.3958 0.7230 1
H21 H 0.6719 0.7157 0.7406 1
H22 H 0.6719 0.7843 0.2406 1
H23 H 0.8459 0.5253 0.0503 1
H24 H 0.8459 0.9747 0.5503 1
H25 H 0.8477 0.1538 0.4297 1
H26 H 0.8477 0.3462 0.9297 1
H27 H 0.8522 0.5369 0.8295 1
H28 H 0.8522 0.9631 0.3295 1
C1 C 0.3079 0.5375 0.1436 1
C2 C 0.3079 0.9625 0.6436 1
C3 C 0.3592 0.1366 0.6639 1
C4 C 0.3592 0.3634 0.1639 1
C5 C 0.6408 0.6366 0.8361 1
C6 C 0.6408 0.8634 0.3361 1
C7 C 0.6921 0.0375 0.3564 1
C8 C 0.6921 0.4625 0.8564 1
Br1 Br 0.0343 0.2278 0.7780 1
Br2 Br 0.0343 0.2722 0.2780 1
Br3 Br 0.2008 0.5487 0.6047 1
Br4 Br 0.2008 0.9513 0.1047 1
Br5 Br 0.7992 0.0487 0.8953 1
Br6 Br 0.7992 0.4513 0.3953 1
Br7 Br 0.9657 0.7278 0.7220 1
Br8 Br 0.9657 0.7722 0.2220 1
N1 N 0.1829 0.5307 0.0797 1
N2 N 0.1829 0.9693 0.5797 1
N3 N 0.8171 0.0307 0.4203 1
N4 N 0.8171 0.4693 0.9203 1
Cl1 Cl 0.4926 0.6157 0.7449 1
Cl2 Cl 0.4926 0.8843 0.2449 1
Cl3 Cl 0.5074 0.1157 0.7551 1
Cl4 Cl 0.5074 0.3843 0.2551 1
```

Main lines, by angle (2θ = 5–70°):
7.42°, I = 100
16.61°, I = 19
16.79°, I = 21
26.95°, I = 14
30.01°, I = 13
32.90°, I = 32


[6]
The following is a computed powder X-ray diffraction pattern of Dy2Ho2CI2Br2Cl. It was derived from a DFT-relaxed cell (PBE, OQMD), using λ = 1.5418 Å (Cu Kα).

Atomic structure:
```
data_Dy2Ho2CI2Br2Cl
_cell_length_a 9.4591
_cell_length_b 9.4591
_cell_length_c 8.0108
_cell_angle_alpha 101.04
_cell_angle_beta 101.04
_cell_angle_gamma 23.36
_space_group_name_H-M_alt 'P 1'
_space_group_IT_number 1
_space_group_name_Hall 'P 1'
loop_
_atom_site_label
_atom_site_type_symbol
_atom_site_fract_x
_atom_site_fract_y
_atom_site_fract_z
_atom_site_occupancy
Dy1 Dy 0.1313 0.1313 0.0635 1
Dy2 Dy 0.8687 0.8687 0.9365 1
Ho1 Ho 0.4978 0.4978 0.2039 1
Ho2 Ho 0.5022 0.5022 0.7961 1
C1 C 0.0000 0.0000 0.0000 1
I1 I 0.3363 0.3363 0.6413 1
I2 I 0.6637 0.6637 0.3587 1
Br1 Br 0.3356 0.3356 0.1772 1
Br2 Br 0.6644 0.6644 0.8228 1
Cl1 Cl 0.0000 0.0000 0.5000 1
```

Main lines, by angle (2θ = 5–70°):
11.26°, I = 41
29.50°, I = 44
30.96°, I = 28
32.34°, I = 100
34.01°, I = 34
44.68°, I = 24